# Y5TmN6
Simulated XRD peak list, Cu Kα (λ = 1.5418 Å). Input: a structure optimized by DFT (PBE).

Peak list (10 most intense, 2θ = 10–90°, low angle first)
2θ/deg  I/Imax
17.8  4
20.0  3
31.6  100
36.7  85
52.8  57
62.9  44
66.0  19
78.0  8
86.6  19
89.4  25

Structure:
```
Y5TmN6
1.0
3.001 -5.199 0.000
3.001 5.199 0.000
-2.000 0.000 5.659
Y Tm N
5 1 6
Direct
0.000 0.000 0.000
0.167 0.833 0.500
0.334 0.666 0.000
0.666 0.334 0.000
0.833 0.167 0.500
0.500 0.500 0.500
0.087 0.417 0.252
0.253 0.253 0.748
0.417 0.087 0.252
0.583 0.913 0.748
0.747 0.747 0.252
0.913 0.583 0.748
```

=====

# TmZr3N
Simulated XRD peak list, Cu Kα (λ = 1.5418 Å). Input: a structure optimized by DFT (PBE).

Peak list (10 most intense, 2θ = 10–90°, low angle first)
2θ/deg  I/Imax
31.0  29
34.0  38
34.8  63
35.5  100
46.7  22
54.3  22
61.5  12
61.9  19
65.6  25
67.3  19

Structure:
```
TmZr3N
1.0
6.612 0.000 0.000
0.000 5.903 0.000
0.000 0.000 5.267
Tm Zr N
2 6 2
Direct
0.000 0.162 0.000
0.500 0.838 0.500
0.000 0.820 0.496
0.249 0.639 0.989
0.251 0.361 0.489
0.500 0.180 0.996
0.749 0.361 0.489
0.751 0.639 0.989
0.000 0.505 0.246
0.500 0.495 0.746
```

=====

# U16N25
Simulated XRD peak list, Cu Kα (λ = 1.5418 Å). Input: a structure optimized by DFT (PBE).

Peak list (10 most intense, 2θ = 10–90°, low angle first)
2θ/deg  I/Imax
29.0  100
33.6  42
48.3  20
48.4  20
57.3  30
57.5  10
60.1  8
78.1  7
80.5  6
80.7  6

Structure:
```
U16N25
1.0
7.544 4.356 3.068
-7.544 4.356 3.068
0.000 -8.711 3.068
U N
16 25
Direct
0.000 0.000 0.000
0.026 0.522 0.521
0.042 0.272 0.794
0.252 0.999 0.771
0.269 0.290 0.543
0.272 0.794 0.042
0.290 0.543 0.269
0.515 0.770 0.747
0.521 0.026 0.522
0.522 0.521 0.026
0.543 0.269 0.290
0.747 0.515 0.770
0.770 0.747 0.515
0.771 0.252 0.999
0.794 0.042 0.272
0.999 0.771 0.252
0.001 0.006 0.752
0.006 0.752 0.001
0.022 0.286 0.549
0.027 0.756 0.498
0.044 0.281 0.045
0.045 0.044 0.281
0.259 0.789 0.290
0.260 0.516 0.489
0.263 0.756 0.785
0.281 0.045 0.044
0.286 0.549 0.022
0.290 0.259 0.789
0.489 0.260 0.516
0.498 0.027 0.756
0.508 0.541 0.791
0.516 0.489 0.260
0.541 0.791 0.508
0.549 0.022 0.286
0.752 0.001 0.006
0.753 0.753 0.753
0.756 0.498 0.027
0.756 0.785 0.263
0.785 0.263 0.756
0.789 0.290 0.259
0.791 0.508 0.541
```

=====

# U3N
Simulated XRD peak list, Cu Kα (λ = 1.5418 Å). Input: a structure optimized by DFT (PBE).

Peak list (10 most intense, 2θ = 10–90°, low angle first)
2θ/deg  I/Imax
25.4  19
30.3  61
32.7  19
40.0  100
41.9  52
52.3  30
56.8  24
61.6  17
69.1  25
80.8  18

Structure:
```
U3N
1.0
3.501 0.000 0.000
0.000 3.501 0.000
0.000 0.000 5.483
U N
3 1
Direct
0.000 0.000 0.000
0.000 0.500 0.405
0.500 0.000 0.595
0.500 0.500 0.000
```

=====

# U3VN7
Simulated XRD peak list, Cu Kα (λ = 1.5418 Å). Input: a structure optimized by DFT (PBE).

Peak list (10 most intense, 2θ = 10–90°, low angle first)
2θ/deg  I/Imax
14.6  29
29.4  100
30.2  95
34.5  51
34.8  24
48.4  14
49.8  52
50.6  15
58.2  25
59.6  29

Structure:
```
U3VN7
1.0
3.760 -5.163 0.000
3.760 5.163 0.000
0.000 0.000 7.210
U V N
6 2 14
Direct
0.009 0.009 0.000
0.037 0.502 0.252
0.498 0.963 0.248
0.502 0.037 0.748
0.963 0.498 0.752
0.991 0.991 0.500
0.459 0.459 0.500
0.541 0.541 0.000
0.129 0.871 0.750
0.133 0.395 0.983
0.139 0.861 0.250
0.161 0.406 0.533
0.395 0.133 0.017
0.406 0.161 0.467
0.426 0.574 0.250
0.574 0.426 0.750
0.594 0.839 0.967
0.605 0.867 0.517
0.839 0.594 0.033
0.861 0.139 0.750
0.867 0.605 0.483
0.871 0.129 0.250
```

=====

# UWN
Simulated XRD peak list, Cu Kα (λ = 1.5418 Å). Input: a structure optimized by DFT (PBE).

Peak list (10 most intense, 2θ = 10–90°, low angle first)
2θ/deg  I/Imax
32.1  100
35.7  19
38.3  53
42.5  10
52.7  27
57.7  13
63.1  15
65.4  21
67.0  11
86.7  13

Structure:
```
UWN
1.0
3.471 0.000 0.000
-1.735 3.006 0.000
0.000 0.000 15.073
U W N
3 3 3
Direct
0.000 0.000 0.000
0.333 0.667 0.667
0.667 0.333 0.333
0.000 0.000 0.527
0.333 0.667 0.194
0.667 0.333 0.861
0.000 0.000 0.391
0.333 0.667 0.058
0.667 0.333 0.725
```

=====

# ZrU2N3
Simulated XRD peak list, Cu Kα (λ = 1.5418 Å). Input: a structure optimized by DFT (PBE).

Peak list (10 most intense, 2θ = 10–90°, low angle first)
2θ/deg  I/Imax
12.4  12
27.1  12
32.4  100
37.6  68
54.2  47
64.6  30
64.7  15
67.9  16
89.2  7
89.3  14

Structure:
```
ZrU2N3
1.0
3.385 0.000 0.000
0.000 3.385 0.000
0.000 0.000 14.324
Zr U N
2 4 6
Direct
0.000 0.000 0.000
0.500 0.500 0.500
0.000 0.000 0.336
0.000 0.000 0.664
0.500 0.500 0.164
0.500 0.500 0.836
0.000 0.000 0.163
0.000 0.000 0.500
0.000 0.000 0.837
0.500 0.500 0.000
0.500 0.500 0.337
0.500 0.500 0.663
```

=====

# Zr3UN3
Simulated XRD peak list, Cu Kα (λ = 1.5418 Å). Input: a structure optimized by DFT (PBE).

Peak list (10 most intense, 2θ = 10–90°, low angle first)
2θ/deg  I/Imax
20.0  54
20.3  32
30.2  100
30.7  34
33.7  100
34.9  76
35.0  43
53.9  51
63.8  34
65.3  31

Structure:
```
Zr3UN3
1.0
4.374 -4.017 0.000
4.374 4.017 0.000
0.000 0.000 6.703
Zr U N
6 2 6
Direct
0.206 0.794 0.750
0.315 0.315 0.000
0.315 0.315 0.500
0.685 0.685 0.000
0.685 0.685 0.500
0.794 0.206 0.250
0.204 0.796 0.250
0.796 0.204 0.750
0.143 0.161 0.750
0.161 0.143 0.250
0.500 0.500 0.250
0.500 0.500 0.750
0.839 0.857 0.750
0.857 0.839 0.250
```